Diffraction record for HoTmTlRh. The X-ray powder pattern is calculated, not measured: it uses a structure optimized by DFT (GGA-PBE) and Cu Kα X-rays.
Neutral-atom scattering factors, no anomalous dispersion.

Structural model:
Lattice parameters (Å, degrees): 3.5054 3.5054 7.5458 90.00 90.00 90.00
Space group P4mm (No. 99)
Asymmetric unit:
Ho  0.0000  0.0000  0.0000
Tm  0.0000  0.0000  0.4300
Tl  0.5000  0.5000  0.7125
Rh  0.5000  0.5000  0.2200

Top 8 peaks for 2θ = 10–90°, in order of rising 2θ:
h k l  2theta  I_rel
1 0 1  28.07  13
1 0 2  34.94  100
1 1 0  36.24  50
2 0 0  52.19  18
1 1 4  61.80  14
2 1 2  64.35  34
2 0 4  73.80  8
3 1 0  88.13  8

---

Diffraction record for Ho2TmRh9. The X-ray powder pattern is calculated, not measured: it uses a structure optimized by DFT (GGA-PBE) and Cu Kα X-rays.
Neutral-atom scattering factors, no anomalous dispersion.

Structural model:
Lattice parameters (Å, degrees): 5.2355 5.2355 26.3216 90.00 90.00 120.00
Space group R-3m (No. 166, hexagonal axes)
Asymmetric unit:
Ho  0.0000  0.0000  0.1388
Tm  0.0000  0.0000  0.0000
Rh  0.0000  0.0000  0.3331
Rh  0.0000  0.0000  0.5000
Rh  0.0005  0.5003  0.9173

Top 8 peaks for 2θ = 10–90°, in order of rising 2θ:
h k l  2theta  I_rel
1 0 7  30.89  30
0 1 8  33.66  31
1 1 0  34.26  38
0 2 1  39.91  35
1 1 6  40.11  100
2 0 5  43.46  26
3 0 6  65.30  23
2 2 0  72.17  25

---

Diffraction record for Ho3TmRh2. The X-ray powder pattern is calculated, not measured: it uses a structure optimized by DFT (GGA-PBE) and Cu Kα X-rays.
Neutral-atom scattering factors, no anomalous dispersion.

Structural model:
Lattice parameters (Å, degrees): 6.6503 13.4596 7.0396 90.00 90.00 90.00
Space group Ibam (No. 72)
Asymmetric unit:
Ho  0.0000  0.0000  0.2500
Ho  0.0000  0.2691  0.2500
Tm  0.0000  0.5000  0.0000
Rh  0.2123  0.1378  0.0000

Top 8 peaks for 2θ = 10–90°, in order of rising 2θ:
h k l  2theta  I_rel
1 2 1  22.65  51
2 0 0  26.81  43
1 1 2  29.47  42
1 3 2  35.10  93
0 4 2  36.96  40
2 0 2  37.20  43
2 4 0  38.05  100
2 4 4  66.19  39

---

Diffraction record for Ho5TmRh6. The X-ray powder pattern is calculated, not measured: it uses a structure optimized by DFT (GGA-PBE) and Cu Kα X-rays.
Neutral-atom scattering factors, no anomalous dispersion.

Structural model:
Lattice parameters (Å, degrees): 4.8009 14.4233 6.8410 90.00 90.00 90.00
Space group Cmmm (No. 65)
Asymmetric unit:
Ho  0.0000  0.0000  0.0000
Ho  0.0000  0.3334  0.0000
Ho  0.0000  0.3337  0.5000
Tm  0.0000  0.0000  0.5000
Rh  0.0000  0.1662  0.2507
Rh  0.0000  0.5000  0.2516

Top 8 peaks for 2θ = 10–90°, in order of rising 2θ:
h k l  2theta  I_rel
1 3 0  26.23  6
1 3 2  37.31  100
2 0 0  37.44  50
0 0 4  53.59  9
2 6 0  53.98  17
2 0 4  67.19  18
3 3 2  67.45  35
2 6 4  79.53  11

---

Diffraction record for Ho4TmRh3. The X-ray powder pattern is calculated, not measured: it uses a structure optimized by DFT (GGA-PBE) and Cu Kα X-rays.
Neutral-atom scattering factors, no anomalous dispersion.

Structural model:
Lattice parameters (Å, degrees): 10.9410 10.9410 6.0812 90.00 90.00 90.00
Space group I4/mcm (No. 140)
Asymmetric unit:
Ho  0.0813  0.2102  0.0000
Tm  0.0000  0.5000  0.2500
Rh  0.0000  0.0000  0.2500
Rh  0.1555  0.3445  0.5000

Top 8 peaks for 2θ = 10–90°, in order of rising 2θ:
h k l  2theta  I_rel
0 0 2  29.37  28
3 2 1  32.99  76
2 0 2  33.72  49
4 2 0  36.74  54
4 1 1  36.96  100
2 2 2  37.63  49
4 1 3  57.19  28
5 5 0  59.77  19

---

Diffraction record for Ho2TmRh4. The X-ray powder pattern is calculated, not measured: it uses a structure optimized by DFT (GGA-PBE) and Cu Kα X-rays.
Neutral-atom scattering factors, no anomalous dispersion.

Structural model:
Lattice parameters (Å, degrees): 4.7981 4.7981 12.3000 90.00 90.00 90.00
Space group I4/mmm (No. 139)
Asymmetric unit:
Ho  0.0000  0.0000  0.2251
Tm  0.0000  0.0000  0.5000
Rh  0.0000  0.5000  0.1205

Top 8 peaks for 2θ = 10–90°, in order of rising 2θ:
h k l  2theta  I_rel
1 0 1  19.86  11
1 0 3  28.64  32
2 0 0  37.49  67
1 1 4  39.55  100
2 1 3  47.85  16
2 2 0  54.06  23
1 0 7  55.71  11
3 1 4  69.04  49

---

Diffraction record for Ho3TmRh2. The X-ray powder pattern is calculated, not measured: it uses a structure optimized by DFT (GGA-PBE) and Cu Kα X-rays.
Neutral-atom scattering factors, no anomalous dispersion.

Structural model:
Lattice parameters (Å, degrees): 15.3653 4.2174 4.6777 90.00 107.72 90.00
Space group C2/m (No. 12)
Asymmetric unit:
Ho  0.0000  0.0000  0.0000
Ho  0.1853  0.5000  0.1849
Tm  0.0000  0.5000  0.5000
Rh  0.1294  0.0000  0.6306

Top 8 peaks for 2θ = 10–90°, in order of rising 2θ:
h k l  2theta  I_rel
1 1 1  31.06  100
6 0 -1  36.20  18
6 0 0  36.85  19
5 1 0  37.40  17
3 1 1  37.81  58
2 0 -2  38.49  33
0 2 0  42.89  24
2 2 -2  58.98  19

---

Diffraction record for HoTm3Rh3. The X-ray powder pattern is calculated, not measured: it uses a structure optimized by DFT (GGA-PBE) and Cu Kα X-rays.
Neutral-atom scattering factors, no anomalous dispersion.

Structural model:
Lattice parameters (Å, degrees): 9.6246 9.7533 6.6093 90.00 90.00 90.00
Space group Cmmm (No. 65)
Asymmetric unit:
Ho  0.2472  0.0000  0.0000
Tm  0.0000  0.2548  0.5000
Tm  0.0000  0.2607  0.0000
Tm  0.2455  0.5000  0.5000
Rh  0.0000  0.5000  0.2506
Rh  0.2500  0.2500  0.2516

Top 8 peaks for 2θ = 10–90°, in order of rising 2θ:
h k l  2theta  I_rel
1 1 0  12.92  11
2 2 0  26.01  16
0 4 0  36.86  27
4 0 0  37.37  26
2 2 2  37.83  100
4 4 0  53.50  18
2 6 2  67.05  18
6 2 2  67.71  18